# 1
Calculated X-ray powder pattern of YZn2Ga for Cu Kα (weighted mean of Kα1 and Kα2), from a crystal structure in Alexandria, relaxed with GGA-PBE.
Peak positions follow from Bragg's law for the DFT cell and can differ from measured ones.

Structure:
a = 6.5523 Å, b = 5.5901 Å, c = 5.5901 Å
α = 46.92°, β = 90.00°, γ = 90.00°
Element x y z (fractional)
Y1 0.0000 0.0000 0.0000
Y2 0.5000 0.1917 0.1917
Zn1 0.0000 0.2972 0.2972
Zn2 0.3073 0.4717 0.4717
Zn3 0.5000 0.8970 0.8970
Zn4 0.6927 0.4717 0.4717
Ga1 0.1980 0.7119 0.7119
Ga2 0.8020 0.7119 0.7119

Peak list (10 most intense, 2θ from 10° to 90°, in order of rising 2θ)
two_theta, I/Imax
35.00, 28.3
35.12, 100.0
35.84, 83.3
37.67, 19.5
40.54, 49.4
43.32, 39.0
45.12, 21.2
54.61, 15.2
62.25, 15.7
70.71, 18.3



# 2
Calculated X-ray powder pattern of Y2Zn3Ga5 for Cu Kα (weighted mean of Kα1 and Kα2), from a crystal structure in Alexandria, relaxed with GGA-PBE.
Peak positions follow from Bragg's law for the DFT cell and can differ from measured ones.

Structure:
a = 8.5061 Å, b = 8.5061 Å, c = 8.5061 Å
α = 101.44°, β = 92.28°, γ = 139.63°
Element x y z (fractional)
Y1 0.1254 0.2479 0.3733
Y2 0.3746 0.7479 0.1226
Y3 0.6254 0.2521 0.8774
Y4 0.8746 0.7521 0.6267
Zn1 0.1269 0.8649 0.9919
Zn2 0.2500 0.7500 0.5000
Zn3 0.3731 0.3649 0.7380
Zn4 0.6269 0.6351 0.2620
Zn5 0.7500 0.2500 0.5000
Zn6 0.8731 0.1351 0.0081
Ga1 0.0037 0.7500 0.2537
Ga2 0.1201 0.6426 0.7627
Ga3 0.2500 0.2500 0.0000
Ga4 0.3799 0.1426 0.5225
Ga5 0.4963 0.7500 0.7463
Ga6 0.5037 0.2500 0.2537
Ga7 0.6201 0.8574 0.4775
Ga8 0.7500 0.7500 0.0000
Ga9 0.8799 0.3574 0.2373
Ga10 0.9963 0.2500 0.7463

Peak list (10 most intense, 2θ from 10° to 90°, in order of rising 2θ)
two_theta, I/Imax
32.96, 80.0
34.70, 89.4
34.81, 89.0
43.52, 100.0
45.68, 43.6
47.54, 53.6
66.34, 18.7
66.47, 18.8
74.32, 18.1
86.02, 21.2



# 3
Calculated X-ray powder pattern of Zn3Ga4 for Cu Kα (weighted mean of Kα1 and Kα2), from a crystal structure in Alexandria, relaxed with GGA-PBE.
Peak positions follow from Bragg's law for the DFT cell and can differ from measured ones.

Structure:
a = 7.3430 Å, b = 7.3430 Å, c = 7.3430 Å
α = 113.60°, β = 113.60°, γ = 113.60°
Element x y z (fractional)
Zn1 0.0343 0.3266 0.4837
Zn2 0.3266 0.4837 0.0343
Zn3 0.4837 0.0343 0.3266
Zn4 0.5163 0.9657 0.6734
Zn5 0.6734 0.5163 0.9657
Zn6 0.9657 0.6734 0.5163
Ga1 0.0000 0.0000 0.0000
Ga2 0.0278 0.4489 0.1736
Ga3 0.1736 0.0278 0.4489
Ga4 0.4489 0.1736 0.0278
Ga5 0.5000 0.5000 0.5000
Ga6 0.5511 0.8264 0.9722
Ga7 0.8264 0.9722 0.5511
Ga8 0.9722 0.5511 0.8264

Peak list (10 most intense, 2θ from 10° to 90°, in order of rising 2θ)
two_theta, I/Imax
32.66, 7.0
35.86, 24.0
38.79, 100.0
44.27, 15.4
49.23, 13.0
62.35, 8.8
66.35, 8.0
70.20, 14.1
70.35, 6.4
83.20, 6.8



# 4
Calculated X-ray powder pattern of Zn2Ga13 for Cu Kα (weighted mean of Kα1 and Kα2), from a crystal structure in Alexandria, relaxed with GGA-PBE.
Peak positions follow from Bragg's law for the DFT cell and can differ from measured ones.

Structure:
a = 7.5767 Å, b = 7.5767 Å, c = 7.5767 Å
α = 68.33°, β = 68.33°, γ = 68.33°
Element x y z (fractional)
Zn1 0.1537 0.1537 0.1537
Zn2 0.8463 0.8463 0.8463
Ga1 0.0000 0.0000 0.0000
Ga2 0.1706 0.4883 0.4883
Ga3 0.1952 0.6971 0.6971
Ga4 0.3029 0.3029 0.8048
Ga5 0.3029 0.8048 0.3029
Ga6 0.4883 0.1706 0.4883
Ga7 0.4883 0.4883 0.1706
Ga8 0.5117 0.5117 0.8294
Ga9 0.5117 0.8294 0.5117
Ga10 0.6971 0.1952 0.6971
Ga11 0.6971 0.6971 0.1952
Ga12 0.8048 0.3029 0.3029
Ga13 0.8294 0.5117 0.5117

Peak list (10 most intense, 2θ from 10° to 90°, in order of rising 2θ)
two_theta, I/Imax
13.06, 23.7
23.85, 47.2
24.70, 100.0
35.59, 55.8
39.89, 22.9
42.49, 36.0
44.64, 23.1
45.44, 34.4
45.60, 23.5
49.29, 35.9



# 5
Calculated X-ray powder pattern of Zn5Ga3 for Cu Kα (weighted mean of Kα1 and Kα2), from a crystal structure in Alexandria, relaxed with GGA-PBE.
Peak positions follow from Bragg's law for the DFT cell and can differ from measured ones.

Structure:
a = 8.5409 Å, b = 8.5409 Å, c = 8.5409 Å
α = 152.76°, β = 152.76°, γ = 38.90°
Element x y z (fractional)
Zn1 0.0000 0.0000 0.0000
Zn2 0.2509 0.2509 0.0000
Zn3 0.6295 0.1295 0.5000
Zn4 0.7491 0.7491 0.0000
Zn5 0.8705 0.3705 0.5000
Ga1 0.1292 0.6292 0.5000
Ga2 0.3708 0.8708 0.5000
Ga3 0.5000 0.5000 0.0000

Peak list (5 most intense, 2θ from 10° to 90°, in order of rising 2θ)
two_theta, I/Imax
38.76, 100.0
45.06, 48.2
65.63, 29.4
78.91, 33.5
83.17, 9.7



# 6
Calculated X-ray powder pattern of ZnGa6 for Cu Kα (weighted mean of Kα1 and Kα2), from a crystal structure in Alexandria, relaxed with GGA-PBE.
Peak positions follow from Bragg's law for the DFT cell and can differ from measured ones.

Structure:
a = 5.6443 Å, b = 5.6443 Å, c = 8.4554 Å
α = 90.00°, β = 90.00°, γ = 90.00°
Element x y z (fractional)
Zn1 0.2500 0.7500 0.0000
Zn2 0.7500 0.2500 0.0000
Ga1 0.0739 0.5739 0.3567
Ga2 0.0739 0.9261 0.6433
Ga3 0.2500 0.2500 0.1478
Ga4 0.2500 0.2500 0.8522
Ga5 0.4261 0.5739 0.6433
Ga6 0.4261 0.9261 0.3567
Ga7 0.5739 0.0739 0.6433
Ga8 0.5739 0.4261 0.3567
Ga9 0.7500 0.7500 0.1478
Ga10 0.7500 0.7500 0.8522
Ga11 0.9261 0.0739 0.3567
Ga12 0.9261 0.4261 0.6433

Peak list (10 most intense, 2θ from 10° to 90°, in order of rising 2θ)
two_theta, I/Imax
30.81, 17.1
31.74, 17.4
33.47, 100.0
37.17, 56.4
39.13, 61.9
41.67, 62.9
42.78, 17.3
45.47, 59.9
68.85, 30.8
79.70, 22.7



# 7
Calculated X-ray powder pattern of Zn5Ga7 for Cu Kα (weighted mean of Kα1 and Kα2), from a crystal structure in Alexandria, relaxed with GGA-PBE.
Peak positions follow from Bragg's law for the DFT cell and can differ from measured ones.

Structure:
a = 6.3894 Å, b = 6.3894 Å, c = 8.9209 Å
α = 113.17°, β = 113.17°, γ = 38.54°
Element x y z (fractional)
Zn1 0.0000 0.0000 0.0000
Zn2 0.1735 0.1735 0.5020
Zn3 0.2482 0.2482 0.2538
Zn4 0.7518 0.7518 0.7462
Zn5 0.8265 0.8265 0.4980
Ga1 0.0810 0.0810 0.7397
Ga2 0.3360 0.3360 0.0097
Ga3 0.4105 0.4105 0.7504
Ga4 0.5000 0.5000 0.5000
Ga5 0.5895 0.5895 0.2496
Ga6 0.6640 0.6640 0.9903
Ga7 0.9190 0.9190 0.2603

Peak list (10 most intense, 2θ from 10° to 90°, in order of rising 2θ)
two_theta, I/Imax
37.56, 100.0
38.57, 92.5
42.88, 34.5
44.70, 29.8
45.13, 29.2
63.67, 19.8
64.01, 29.1
75.04, 12.1
75.68, 11.8
76.99, 10.8



# 8
Calculated X-ray powder pattern of Zn5Ga6 for Cu Kα (weighted mean of Kα1 and Kα2), from a crystal structure in Alexandria, relaxed with GGA-PBE.
Peak positions follow from Bragg's law for the DFT cell and can differ from measured ones.

Structure:
a = 6.0156 Å, b = 6.0156 Å, c = 6.3810 Å
α = 98.26°, β = 98.26°, γ = 117.53°
Element x y z (fractional)
Zn1 0.0000 0.0000 0.0000
Zn2 0.1332 0.8668 0.5000
Zn3 0.2586 0.7414 0.0000
Zn4 0.7414 0.2586 0.0000
Zn5 0.8668 0.1332 0.5000
Ga1 0.1935 0.4654 0.3070
Ga2 0.3315 0.3315 0.7938
Ga3 0.4654 0.1935 0.3070
Ga4 0.5346 0.8065 0.6930
Ga5 0.6685 0.6685 0.2062
Ga6 0.8065 0.5346 0.6930

Peak list (10 most intense, 2θ from 10° to 90°, in order of rising 2θ)
two_theta, I/Imax
35.28, 77.6
35.62, 99.5
37.50, 63.9
37.94, 67.6
46.23, 100.0
50.58, 37.2
51.44, 15.3
72.79, 20.9
75.27, 14.5
77.20, 16.4